No. 1
Structure and computed PXRD pattern of K2HfF6 (DFT lattice parameters and positions (GGA-PBE); λ = 1.5418 Å (Cu Kα)).

Top 10 peaks for 2θ = 10–90°, in order of rising 2θ:
(1 0 1), 16.9 deg, 5.261 Å, intensity 100; (1 1 0), 19.2 deg, 4.623 Å, intensity 12; (2 0 0), 27.3 deg, 3.269 Å, intensity 29; (1 1 2), 27.9 deg, 3.199 Å, intensity 29; (2 1 1), 32.2 deg, 2.776 Å, intensity 22; (1 0 3), 33.3 deg, 2.692 Å, intensity 15; (2 2 0), 39.0 deg, 2.311 Å, intensity 11; (3 1 2), 48.6 deg, 1.873 Å, intensity 18; (2 0 4), 49.7 deg, 1.834 Å, intensity 10; (3 2 1), 51.4 deg, 1.776 Å, intensity 11

Cell and atoms:
```
data_K2HfF6
_space_group_name_H-M_alt 'P 4/m n c'
_space_group_IT_number 128
_space_group_name_Hall '-P 4 2n'
_cell_length_a 6.5377
_cell_length_b 6.5377
_cell_length_c 8.8603
_cell_angle_alpha 90.00
_cell_angle_beta 90.00
_cell_angle_gamma 90.00
loop_
_atom_site_label
_atom_site_type_symbol
_atom_site_fract_x
_atom_site_fract_y
_atom_site_fract_z
K1 K 0.0000 0.5000 0.2500
Hf1 Hf 0.0000 0.0000 0.0000
F1 F 0.0000 0.0000 0.2261
F2 F 0.1035 0.2897 0.0000
```



No. 2
Structure and computed PXRD pattern of Er4Pb3 (DFT lattice parameters and positions (GGA-PBE); λ = 1.5418 Å (Cu Kα)).

Top 10 peaks for 2θ = 10–90°, in order of rising 2θ:
(3 1 0), 30.3 deg, 2.948 Å, intensity 100; (3 2 1), 36.0 deg, 2.492 Å, intensity 64; (4 2 0), 43.4 deg, 2.085 Å, intensity 17; (3 3 2), 45.6 deg, 1.988 Å, intensity 13; (4 2 2), 47.8 deg, 1.903 Å, intensity 13; (4 3 1), 49.9 deg, 1.829 Å, intensity 20; (6 1 1), 61.3 deg, 1.513 Å, intensity 29; (6 2 0), 63.1 deg, 1.474 Å, intensity 11; (5 4 1), 64.8 deg, 1.439 Å, intensity 14; (7 2 1), 74.8 deg, 1.269 Å, intensity 19

Cell and atoms:
```
data_Er4Pb3
_space_group_name_H-M_alt 'I -4 3 d'
_space_group_IT_number 220
_space_group_name_Hall 'I -4bd 2c 3'
_cell_length_a 9.3239
_cell_length_b 9.3239
_cell_length_c 9.3239
_cell_angle_alpha 90.00
_cell_angle_beta 90.00
_cell_angle_gamma 90.00
loop_
_atom_site_label
_atom_site_type_symbol
_atom_site_fract_x
_atom_site_fract_y
_atom_site_fract_z
Er1 Er 0.0708 0.0708 0.0708
Pb1 Pb 0.0000 0.2500 0.3750
```



No. 3
Structure and computed PXRD pattern of Li6CdAg (DFT lattice parameters and positions (GGA-PBE); λ = 1.5418 Å (Cu Kα)).

Top 10 peaks for 2θ = 10–90°, in order of rising 2θ:
(2 0 0), 21.1 deg, 4.203 Å, intensity 53; (0 2 2), 21.7 deg, 4.101 Å, intensity 100; (2 2 2), 30.5 deg, 2.935 Å, intensity 86; (0 0 4), 30.6 deg, 2.921 Å, intensity 21; (0 4 0), 31.1 deg, 2.879 Å, intensity 20; (2 0 4), 37.5 deg, 2.399 Å, intensity 34; (2 4 0), 37.9 deg, 2.375 Å, intensity 33; (0 4 4), 44.2 deg, 2.050 Å, intensity 21; (4 2 2), 48.7 deg, 1.870 Å, intensity 22; (2 4 4), 49.4 deg, 1.843 Å, intensity 32

Cell and atoms:
```
data_Li6CdAg
_space_group_name_H-M_alt 'C m m m'
_space_group_IT_number 65
_space_group_name_Hall '-C 2 2'
_cell_length_a 8.4056
_cell_length_b 11.5144
_cell_length_c 11.6846
_cell_angle_alpha 90.00
_cell_angle_beta 90.00
_cell_angle_gamma 90.00
loop_
_atom_site_label
_atom_site_type_symbol
_atom_site_fract_x
_atom_site_fract_y
_atom_site_fract_z
Li1 Li 0.0000 0.0000 0.0000
Li2 Li 0.0000 0.0000 0.5000
Li3 Li 0.0000 0.2486 0.2437
Li4 Li 0.0000 0.5000 0.0000
Li5 Li 0.0000 0.5000 0.5000
Li6 Li 0.2438 0.1239 0.3714
Li7 Li 0.2442 0.1261 0.1218
Cd1 Cd 0.0000 0.2533 0.5000
Cd2 Cd 0.0000 0.5000 0.2487
Ag1 Ag 0.0000 0.0000 0.2484
Ag2 Ag 0.0000 0.2528 0.0000
```



No. 4
Structure and computed PXRD pattern of PmGdTl (DFT lattice parameters and positions (GGA-PBE); λ = 1.5418 Å (Cu Kα)).

Top 10 peaks for 2θ = 10–90°, in order of rising 2θ:
(0 1 1), 30.8 deg, 2.903 Å, intensity 100; (1 1 0), 33.7 deg, 2.662 Å, intensity 86; (2 0 1), 46.3 deg, 1.962 Å, intensity 33; (1 0 2), 52.9 deg, 1.732 Å, intensity 21; (1 2 1), 58.4 deg, 1.579 Å, intensity 33; (3 0 0), 60.2 deg, 1.537 Å, intensity 16; (0 2 2), 64.2 deg, 1.452 Å, intensity 12; (2 2 0), 70.8 deg, 1.331 Å, intensity 10; (2 1 2), 74.4 deg, 1.274 Å, intensity 15; (3 1 1), 79.2 deg, 1.210 Å, intensity 14

Cell and atoms:
```
data_PmGdTl
_space_group_name_H-M_alt 'P 3 m 1'
_space_group_IT_number 156
_cell_length_a 5.3238
_cell_length_b 5.3238
_cell_length_c 3.7373
_cell_angle_alpha 90.00
_cell_angle_beta 90.00
_cell_angle_gamma 120.00
loop_
_space_group_symop_operation_xyz
'x,y,z'
'-y,x-y,z'
'-x+y,-x,z'
'-y,-x,z'
'-x+y,y,z'
'x,x-y,z'
loop_
_atom_site_label
_atom_site_type_symbol
_atom_site_fract_x
_atom_site_fract_y
_atom_site_fract_z
Pm1 Pm 0.0000 0.0000 0.0000
Gd1 Gd 0.6667 0.3333 0.5500
Tl1 Tl 0.3333 0.6667 0.3381
```



No. 5
Structure and computed PXRD pattern of Pu3BrN3 (DFT lattice parameters and positions (GGA-PBE); λ = 1.5418 Å (Cu Kα)).

Top 10 peaks for 2θ = 10–90°, in order of rising 2θ:
(0 0 3), 12.0 deg, 7.379 Å, intensity 22; (1 1 0), 26.8 deg, 3.326 Å, intensity 16; (2 -1 3), 29.5 deg, 3.033 Å, intensity 100; (1 1 6), 36.4 deg, 2.471 Å, intensity 47; (0 0 9), 36.5 deg, 2.460 Å, intensity 17; (3 0 0), 47.3 deg, 1.921 Å, intensity 28; (2 2 3), 56.7 deg, 1.623 Å, intensity 17; (2 -1 12), 57.1 deg, 1.613 Å, intensity 19; (3 0 9), 61.2 deg, 1.514 Å, intensity 23; (5 -1 3), 76.9 deg, 1.239 Å, intensity 14

Cell and atoms:
```
data_Pu3BrN3
_space_group_name_H-M_alt 'R -3'
_space_group_IT_number 148
_space_group_name_Hall '-R 3'
_cell_length_a 6.6530
_cell_length_b 6.6530
_cell_length_c 22.1359
_cell_angle_alpha 90.00
_cell_angle_beta 90.00
_cell_angle_gamma 120.00
loop_
_atom_site_label
_atom_site_type_symbol
_atom_site_fract_x
_atom_site_fract_y
_atom_site_fract_z
Pu1 Pu 0.0009 0.6637 0.3942
Br1 Br 0.0000 0.0000 0.1668
N1 N 0.0020 0.6650 0.2931
```



No. 6
Structure and computed PXRD pattern of Ba2Cd2Ag3 (DFT lattice parameters and positions (GGA-PBE); λ = 1.5418 Å (Cu Kα)).

Top 10 peaks for 2θ = 10–90°, in order of rising 2θ:
(1 1 2), 28.9 deg, 3.087 Å, intensity 84; (1 5 1), 30.4 deg, 2.941 Å, intensity 100; (1 3 2), 31.4 deg, 2.851 Å, intensity 21; (0 8 0), 34.2 deg, 2.625 Å, intensity 25; (0 8 1), 35.9 deg, 2.504 Å, intensity 19; (0 4 3), 36.8 deg, 2.444 Å, intensity 49; (2 0 0), 37.9 deg, 2.374 Å, intensity 52; (1 3 3), 39.9 deg, 2.259 Å, intensity 20; (1 7 2), 41.7 deg, 2.164 Å, intensity 24; (2 4 3), 53.8 deg, 1.703 Å, intensity 32

Cell and atoms:
```
data_Ba2Cd2Ag3
_space_group_name_H-M_alt 'C m c m'
_space_group_IT_number 63
_space_group_name_Hall '-C 2c 2'
_cell_length_a 4.7494
_cell_length_b 21.0002
_cell_length_c 8.2827
_cell_angle_alpha 90.00
_cell_angle_beta 90.00
_cell_angle_gamma 90.00
loop_
_atom_site_label
_atom_site_type_symbol
_atom_site_fract_x
_atom_site_fract_y
_atom_site_fract_z
Ba1 Ba 0.0000 0.0615 0.2500
Ba2 Ba 0.0000 0.1557 0.7500
Cd1 Cd 0.0000 0.3098 0.5599
Ag1 Ag 0.0000 0.2264 0.2500
Ag2 Ag 0.0000 0.4406 0.0755
```



No. 7
Structure and computed PXRD pattern of Nd7Dy3Er (DFT lattice parameters and positions (GGA-PBE); λ = 1.5418 Å (Cu Kα)).

Top 10 peaks for 2θ = 10–90°, in order of rising 2θ:
(2 2 -2), 28.7 deg, 3.107 Å, intensity 23; (0 2 2), 29.4 deg, 3.035 Å, intensity 20; (6 0 0), 31.1 deg, 2.880 Å, intensity 50; (0 0 4), 31.7 deg, 2.825 Å, intensity 100; (6 0 -4), 33.0 deg, 2.715 Å, intensity 32; (2 2 2), 33.6 deg, 2.670 Å, intensity 53; (4 2 -6), 50.1 deg, 1.819 Å, intensity 26; (10 2 -6), 59.9 deg, 1.545 Å, intensity 15; (2 2 6), 60.5 deg, 1.531 Å, intensity 15; (6 4 0), 60.7 deg, 1.525 Å, intensity 14

Cell and atoms:
```
data_Nd7Dy3Er
_space_group_name_H-M_alt 'C 1 2/c 1'
_space_group_IT_number 15
_cell_length_a 19.3193
_cell_length_b 7.1930
_cell_length_c 12.6560
_cell_angle_alpha 90.00
_cell_angle_beta 116.57
_cell_angle_gamma 90.00
loop_
_space_group_symop_operation_xyz
'x,y,z'
'-x,-y,-z'
'-x,y,-z+1/2'
'x,-y,z+1/2'
'x+1/2,y+1/2,z'
'-x+1/2,-y+1/2,-z'
'-x+1/2,y+1/2,-z+1/2'
'x+1/2,-y+1/2,z+1/2'
loop_
_atom_site_label
_atom_site_type_symbol
_atom_site_fract_x
_atom_site_fract_y
_atom_site_fract_z
Nd1 Nd 0.0000 0.2087 0.2500
Nd2 Nd 0.1582 0.4961 0.7732
Nd3 Nd 0.1660 0.2457 0.0250
Nd4 Nd 0.1679 0.2486 0.5285
Dy1 Dy 0.0000 0.5000 0.0000
Dy2 Dy 0.1710 0.0021 0.2737
Er1 Er 0.0000 0.0000 0.0000
```